1.
Diffraction record for AgHgPbO4. The powder diffractogram is theoretical, not measured: it uses a crystal structure in Alexandria, relaxed with PBE and Cu Ka.
Kinematic intensities with the Lorentz-polarization factor, no thermal factor.

Most intense lines, 10 to 90 degrees two-theta, low angle first:
- 16.13 deg, I 24.8
- 25.82 deg, I 57.3
- 27.39 deg, I 29.3
- 29.54 deg, I 84.7
- 31.29 deg, I 100.0
- 31.78 deg, I 67.3
- 31.94 deg, I 49.2
- 49.77 deg, I 19.1
- 50.36 deg, I 22.5
- 50.92 deg, I 29.3
- 53.08 deg, I 59.3
- 63.53 deg, I 21.7

Crystal structure
```
data_AgHgPbO4
_space_group_name_H-M_alt 'I m m a'
_space_group_IT_number 74
_space_group_name_Hall '-I 2b 2'
_cell_length_a 6.513
_cell_length_b 6.695
_cell_length_c 10.244
_cell_angle_alpha 90.00
_cell_angle_beta 90.00
_cell_angle_gamma 90.00
loop_
_atom_site_label
_atom_site_type_symbol
_atom_site_fract_x
_atom_site_fract_y
_atom_site_fract_z
_atom_site_occupancy
Ag1 Ag 0.250 0.250 0.250 1
Hg1 Hg 0.000 0.250 0.653 1
Pb1 Pb 0.000 0.000 0.000 1
O1 O 0.000 0.039 0.222 1
O2 O 0.225 0.250 0.988 1
```


2.
Diffraction record for LiIrO4. The powder diffractogram is theoretical, not measured: it uses a crystal structure in Alexandria, relaxed with PBE and Cu Ka.
Kinematic intensities with the Lorentz-polarization factor, no thermal factor.

Most intense lines, 10 to 90 degrees two-theta, low angle first:
- 16.83 deg, I 100.0
- 25.49 deg, I 75.0
- 30.70 deg, I 89.0
- 32.59 deg, I 18.4
- 36.90 deg, I 21.4
- 43.01 deg, I 33.5
- 43.50 deg, I 14.8
- 53.36 deg, I 14.0
- 55.40 deg, I 22.2
- 56.98 deg, I 15.0
- 58.87 deg, I 15.3
- 63.95 deg, I 16.9

Crystal structure
```
data_LiIrO4
_space_group_name_H-M_alt 'P b c n'
_space_group_IT_number 60
_cell_length_a 4.529
_cell_length_b 5.495
_cell_length_c 10.533
_cell_angle_alpha 90.00
_cell_angle_beta 90.00
_cell_angle_gamma 90.00
loop_
_space_group_symop_operation_xyz
'x,y,z'
'-x,-y,-z'
'-x+1/2,-y+1/2,z+1/2'
'x+1/2,y+1/2,-z+1/2'
'x+1/2,-y+1/2,-z'
'-x+1/2,y+1/2,z'
'-x,y,-z+1/2'
'x,-y,z+1/2'
loop_
_atom_site_label
_atom_site_type_symbol
_atom_site_fract_x
_atom_site_fract_y
_atom_site_fract_z
_atom_site_occupancy
Li1 Li 0.000 0.197 0.250 1
Ir1 Ir 0.000 0.500 0.000 1
O1 O 0.219 0.498 0.645 1
O2 O 0.233 0.237 0.422 1
```


3.
Diffraction record for Zn3Cu6Sn3Se4S8. The powder diffractogram is theoretical, not measured: it uses a crystal structure in Alexandria, relaxed with PBE and Cu Ka.
Kinematic intensities with the Lorentz-polarization factor, no thermal factor.

Most intense lines, 10 to 90 degrees two-theta, low angle first:
- 27.71 deg, I 94.0
- 27.84 deg, I 89.3
- 46.11 deg, I 100.0
- 46.37 deg, I 20.1
- 54.63 deg, I 36.5
- 54.69 deg, I 13.3
- 54.88 deg, I 25.9
- 67.42 deg, I 12.4
- 74.15 deg, I 10.4
- 74.37 deg, I 8.5
- 85.29 deg, I 11.8
- 85.81 deg, I 12.3

Crystal structure
```
data_Zn3Cu6Sn3Se4S8
_space_group_name_H-M_alt 'C 1 m 1'
_space_group_IT_number 8
_cell_length_a 7.883
_cell_length_b 7.832
_cell_length_c 17.184
_cell_angle_alpha 90.00
_cell_angle_beta 103.20
_cell_angle_gamma 90.00
loop_
_space_group_symop_operation_xyz
'x,y,z'
'x,-y,z'
'x+1/2,y+1/2,z'
'x+1/2,-y+1/2,z'
loop_
_atom_site_label
_atom_site_type_symbol
_atom_site_fract_x
_atom_site_fract_y
_atom_site_fract_z
_atom_site_occupancy
Zn1 Zn 0.000 0.000 0.000 1
Zn2 Zn 0.158 0.500 0.329 1
Zn3 Zn 0.325 0.000 0.659 1
Cu1 Cu 0.159 0.250 0.815 1
Cu2 Cu 0.329 0.236 0.157 1
Cu3 Cu 0.494 0.266 0.487 1
Sn1 Sn 0.000 0.500 0.995 1
Sn2 Sn 0.168 0.000 0.327 1
Sn3 Sn 0.332 0.500 0.657 1
Se1 Se 0.023 0.500 0.565 1
Se2 Se 0.191 0.000 0.903 1
Se3 Se 0.215 0.500 0.902 1
Se4 Se 0.358 0.500 0.236 1
S1 S 0.042 0.245 0.085 1
S2 S 0.044 0.000 0.570 1
S3 S 0.208 0.257 0.415 1
S4 S 0.374 0.243 0.745 1
S5 S 0.378 0.000 0.239 1
```


4.
Diffraction record for PrCdCu. The powder diffractogram is theoretical, not measured: it uses a crystal structure in Alexandria, relaxed with PBE and Cu Ka.
Kinematic intensities with the Lorentz-polarization factor, no thermal factor.

Most intense lines, 10 to 90 degrees two-theta, low angle first:
- 32.13 deg, I 100.0
- 32.27 deg, I 31.0
- 32.95 deg, I 33.9
- 34.76 deg, I 48.0
- 34.96 deg, I 64.9
- 35.15 deg, I 23.4
- 35.36 deg, I 18.8
- 39.85 deg, I 12.7
- 40.19 deg, I 16.5
- 45.67 deg, I 32.0
- 58.87 deg, I 17.8
- 64.50 deg, I 16.1

Crystal structure
```
data_PrCdCu
_space_group_name_H-M_alt 'P m m a'
_space_group_IT_number 51
_cell_length_a 13.573
_cell_length_b 3.973
_cell_length_c 7.751
_cell_angle_alpha 90.00
_cell_angle_beta 90.00
_cell_angle_gamma 90.00
loop_
_space_group_symop_operation_xyz
'x,y,z'
'-x,-y,-z'
'-x+1/2,-y,z'
'x+1/2,y,-z'
'x+1/2,-y,-z'
'-x+1/2,y,z'
'-x,y,-z'
'x,-y,z'
loop_
_atom_site_label
_atom_site_type_symbol
_atom_site_fract_x
_atom_site_fract_y
_atom_site_fract_z
_atom_site_occupancy
Pr1 Pr 0.045 0.000 0.240 1
Pr2 Pr 0.250 0.000 0.856 1
Cd1 Cd 0.123 0.500 0.572 1
Cd2 Cd 0.250 0.500 0.202 1
Cu1 Cu 0.090 0.500 0.949 1
Cu2 Cu 0.250 0.000 0.449 1
```


5.
Diffraction record for Ho5Th3. The powder diffractogram is theoretical, not measured: it uses a crystal structure in Alexandria, relaxed with PBE and Cu Ka.
Kinematic intensities with the Lorentz-polarization factor, no thermal factor.

Most intense lines, 10 to 90 degrees two-theta, low angle first:
- 28.75 deg, I 11.5
- 28.88 deg, I 23.8
- 30.94 deg, I 39.2
- 32.74 deg, I 51.0
- 32.85 deg, I 100.0
- 42.80 deg, I 24.6
- 51.01 deg, I 19.6
- 51.26 deg, I 9.7
- 56.24 deg, I 33.3
- 60.87 deg, I 23.3
- 61.08 deg, I 11.6
- 62.16 deg, I 16.6

Crystal structure
```
data_Ho5Th3
_space_group_name_H-M_alt 'P m m 2'
_space_group_IT_number 25
_cell_length_a 3.565
_cell_length_b 5.780
_cell_length_c 12.422
_cell_angle_alpha 90.00
_cell_angle_beta 90.00
_cell_angle_gamma 90.00
loop_
_space_group_symop_operation_xyz
'x,y,z'
'-x,-y,z'
'-x,y,z'
'x,-y,z'
loop_
_atom_site_label
_atom_site_type_symbol
_atom_site_fract_x
_atom_site_fract_y
_atom_site_fract_z
_atom_site_occupancy
Ho1 Ho 0.000 0.000 0.000 1
Ho2 Ho 0.000 0.000 0.500 1
Ho3 Ho 0.000 0.500 0.337 1
Ho4 Ho 0.500 0.000 0.250 1
Ho5 Ho 0.500 0.500 0.085 1
Th1 Th 0.000 0.500 0.830 1
Th2 Th 0.500 0.000 0.753 1
Th3 Th 0.500 0.500 0.588 1
```


Q: Number 5 is which compound?
A: Ho5Th3


Q: Which formula does entry 5 have?
A: Ho5Th3